Computed powder XRD pattern of Ca3Ta6Fe4O24 for Cu Kα, 1.54184 Å, from a crystal structure in the Materials Project, relaxed with PBE+U.
Neutral-atom scattering factors, no anomalous dispersion.

Largest 6 diffraction maxima, in order of rising 2θ, 2θ = 15–90°:
two_theta, Rel. int., hkl
21.37, 54, 1 1 0
25.82, 96, 0 1 2
26.05, 97, -1 2 1
26.57, 95, 2 0 -1
28.51, 100, 0 2 -3
28.86, 72, 2 -2 0

Structure:
```
Ca3Ta6Fe4O24
1.0
7.0268 0.0000 0.0000
-2.5751 8.2956 0.0000
-1.9685 -4.1871 9.5040
Ca Ta Fe O
3 6 4 24
direct
0.0000 0.0000 0.0000 Ca
0.0065 0.5009 0.6908 Ca
0.9935 0.4991 0.3092 Ca
0.0293 0.8866 0.6310 Ta
0.2912 0.7621 0.1682 Ta
0.4209 0.4015 0.2430 Ta
0.5791 0.5985 0.7570 Ta
0.7088 0.2379 0.8318 Ta
0.9707 0.1134 0.3690 Ta
0.2747 0.3573 0.8999 Fe
0.4803 0.8222 0.5150 Fe
0.5197 0.1778 0.4850 Fe
0.7253 0.6427 0.1001 Fe
0.0139 0.6293 0.1494 O
0.0516 0.2375 0.2592 O
0.1570 0.7569 0.5177 O
0.1861 0.1161 0.7637 O
0.2205 0.1310 0.4789 O
0.2493 0.8953 0.0748 O
0.2554 0.2678 0.0531 O
0.3161 0.4855 0.7690 O
0.3486 0.5928 0.3369 O
0.4117 0.6068 0.0691 O
0.4403 0.9245 0.3603 O
0.4914 0.2827 0.3485 O
0.5086 0.7173 0.6515 O
0.5597 0.0755 0.6397 O
0.5883 0.3932 0.9309 O
0.6514 0.4072 0.6631 O
0.6839 0.5145 0.2310 O
0.7446 0.7322 0.9469 O
0.7507 0.1047 0.9252 O
0.7795 0.8690 0.5211 O
0.8139 0.8839 0.2363 O
0.8430 0.2431 0.4823 O
0.9484 0.7625 0.7408 O
0.9861 0.3707 0.8506 O
```